Entry 1:
Computed powder diffractogram
Compound: MnP2
Radiation: λ = 1.5418 Å (Cu Kα)
Structure: a structure optimized by DFT (PBE)
Kinematic intensities with the Lorentz-polarization factor, no thermal factor.

Structure:
Lattice parameters (Å, degrees): 5.0849 5.7798 2.7269 90.00 90.00 90.00
Space group Pnnm (No. 58)
Unique sites:
Mn  0.0000  0.0000  0.0000 x2
P  0.1720  0.3732  0.0000 x4

Largest 10 diffraction maxima, low angle first, 2θ from 10° to 90°:
2θ (°)  d_spacing  Rel. int.  hkl
23.30  3.818  62  1 1 0
30.94  2.890  36  0 2 0
35.74  2.512  46  1 2 0
37.42  2.403  100  1 0 1
40.66  2.219  32  1 1 1
49.32  1.848  36  1 2 1
50.67  1.802  32  1 3 0
51.63  1.770  65  2 1 1
56.59  1.626  37  3 1 0
58.67  1.574  34  0 3 1



Entry 2:
Computed powder diffractogram
Compound: PrS
Radiation: λ = 1.5418 Å (Cu Kα)
Structure: a structure optimized by DFT (PBE)
Kinematic intensities with the Lorentz-polarization factor, no thermal factor.

Structure:
Lattice parameters (Å, degrees): 5.8077 5.8077 5.8077 90.00 90.00 90.00
Space group Fm-3m (No. 225)
Unique sites:
Pr  0.0000  0.0000  0.0000 x4
S  0.0000  0.0000  0.5000 x4

Largest 10 diffraction maxima, low angle first, 2θ from 10° to 90°:
2θ (°)  d_spacing  Rel. int.  hkl
26.58  3.353  72  1 1 1
30.79  2.904  100  2 0 0
44.10  2.053  73  2 2 0
52.24  1.751  36  3 1 1
54.75  1.677  25  2 2 2
64.14  1.452  12  4 0 0
70.71  1.332  15  3 3 1
72.83  1.299  32  4 2 0
81.13  1.185  24  4 2 2
87.22  1.118  11  5 1 1



Entry 3:
Computed powder diffractogram
Compound: Tb3SbO7
Radiation: λ = 1.5418 Å (Cu Kα)
Structure: a structure optimized by DFT (PBE)
Kinematic intensities with the Lorentz-polarization factor, no thermal factor.

Structure:
Lattice parameters (Å, degrees): 10.6169 7.4591 7.5444 90.00 90.00 90.00
Space group Cmcm (No. 63)
Unique sites:
Tb  0.0000  0.0000  0.0000 x4
Tb  0.2293  0.2836  0.2500 x8
Sb  0.0000  0.5000  0.0000 x4
O  0.0000  0.4124  0.2500 x4
O  0.1290  0.3083  0.5331 x16
O  0.1334  0.0174  0.2500 x8

Largest 10 diffraction maxima, low angle first, 2θ from 10° to 90°:
2θ (°)  d_spacing  Rel. int.  hkl
29.04  3.075  100  2 0 2
29.27  3.052  97  2 2 0
33.79  2.653  71  0 2 2
48.25  1.886  18  0 0 4
48.53  1.876  53  4 2 2
57.46  1.604  40  2 2 4
57.66  1.599  11  6 2 0
57.83  1.594  22  2 4 2
60.19  1.537  10  4 0 4
81.05  1.186  11  4 4 4